# 1
This entry pairs a crystal structure of InCoCu2 with its simulated PXRD pattern. Radiation: a wavelength of 1.5418 Å. Structure: a structure optimized by DFT (GGA-PBE).

The 8 most intense peaks (10 to 80 degrees two-theta), most intense first:
- 2θ 41.0, intensity 100.0
- 2θ 47.4, intensity 32.2
- 2θ 70.0, intensity 18.6
- 2θ 48.3, intensity 15.2
- 2θ 26.1, intensity 9.8
- 2θ 69.3, intensity 9.6
- 2θ 43.0, intensity 2.6
- 2θ 54.9, intensity 2.6

Cell lengths 4.645, 4.645, 4.645 Å; angles 131.24, 131.24, 71.43 degrees
Sites, in units of the cell vectors:
In  0.000  0.000  0.000
Co  0.500  0.500  0.000
Cu  0.250  0.750  0.500
Cu  0.750  0.250  0.500

***

# 2
This entry pairs a crystal structure of K3TlRu2O8 with its simulated PXRD pattern. Radiation: a wavelength of 1.5418 Å. Structure: a structure optimized by DFT (GGA-PBE).

The 8 most intense peaks (10 to 80 degrees two-theta), most intense first:
- 2θ 28.4, intensity 100.0
- 2θ 27.3, intensity 97.5
- 2θ 19.6, intensity 95.9
- 2θ 39.8, intensity 49.4
- 2θ 49.6, intensity 33.8
- 2θ 58.8, intensity 23.5
- 2θ 45.5, intensity 21.0
- 2θ 50.3, intensity 19.4

Cell lengths 6.284, 6.284, 8.191 Å; angles 90.00, 90.00, 120.00 degrees
Sites, in units of the cell vectors:
K  0.000  0.000  0.000
K  0.333  0.667  0.668
K  0.667  0.333  0.332
Tl  0.000  0.000  0.500
Ru  0.333  0.667  0.196
Ru  0.667  0.333  0.804
O  0.180  0.359  0.280
O  0.180  0.820  0.280
O  0.333  0.667  0.980
O  0.359  0.180  0.720
O  0.641  0.820  0.280
O  0.667  0.333  0.020
O  0.820  0.180  0.720
O  0.820  0.641  0.720

***

# 3
This entry pairs a crystal structure of PuSn2Hg4 with its simulated PXRD pattern. Radiation: a wavelength of 1.5418 Å. Structure: a structure optimized by DFT (GGA-PBE).

The 8 most intense peaks (10 to 80 degrees two-theta), most intense first:
- 2θ 35.4, intensity 100.0
- 2θ 34.5, intensity 34.8
- 2θ 32.9, intensity 25.8
- 2θ 62.3, intensity 24.0
- 2θ 10.9, intensity 23.0
- 2θ 36.6, intensity 15.9
- 2θ 32.3, intensity 13.3
- 2θ 51.2, intensity 12.5

Cell lengths 5.082, 5.082, 8.732 Å; angles 108.43, 108.43, 61.56 degrees
Sites, in units of the cell vectors:
Pu  0.000  0.000  0.000
Sn  0.149  0.149  0.404
Sn  0.851  0.851  0.596
Hg  0.250  0.250  0.788
Hg  0.404  0.404  0.189
Hg  0.596  0.596  0.811
Hg  0.750  0.750  0.212

***

# 4
This entry pairs a crystal structure of Pm3SnTe2 with its simulated PXRD pattern. Radiation: a wavelength of 1.5418 Å. Structure: a structure optimized by DFT (GGA-PBE).

The 8 most intense peaks (10 to 80 degrees two-theta), most intense first:
- 2θ 28.1, intensity 100.0
- 2θ 40.2, intensity 63.6
- 2θ 65.9, intensity 17.6
- 2θ 49.7, intensity 14.0
- 2θ 49.8, intensity 13.5
- 2θ 40.0, intensity 13.0
- 2θ 73.1, intensity 12.7
- 2θ 65.8, intensity 11.8

Cell lengths 7.765, 7.765, 7.765 Å; angles 146.27, 131.84, 60.08 degrees
Sites, in units of the cell vectors:
Pm  0.000  0.000  0.000
Pm  0.340  0.340  0.000
Pm  0.660  0.660  0.000
Sn  0.500  0.000  0.500
Te  0.168  0.668  0.500
Te  0.832  0.332  0.500

***

# 5
This entry pairs a crystal structure of Nd4Pt3Rh with its simulated PXRD pattern. Radiation: a wavelength of 1.5418 Å. Structure: a structure optimized by DFT (GGA-PBE).

The 8 most intense peaks (10 to 80 degrees two-theta), most intense first:
- 2θ 31.3, intensity 100.0
- 2θ 39.3, intensity 81.0
- 2θ 40.0, intensity 32.2
- 2θ 32.9, intensity 30.3
- 2θ 38.6, intensity 25.0
- 2θ 46.3, intensity 21.3
- 2θ 62.8, intensity 17.2
- 2θ 52.7, intensity 16.1

Cell lengths 3.922, 4.511, 10.895 Å; angles 90.00, 90.00, 90.00 degrees
Sites, in units of the cell vectors:
Nd  0.000  0.000  0.000
Nd  0.000  0.500  0.272
Nd  0.500  0.000  0.492
Nd  0.500  0.500  0.772
Pt  0.000  0.000  0.722
Pt  0.000  0.500  0.549
Pt  0.500  0.500  0.050
Rh  0.500  0.000  0.224

***

# 6
This entry pairs a crystal structure of PuCl5F with its simulated PXRD pattern. Radiation: a wavelength of 1.5418 Å. Structure: a structure optimized by DFT (GGA-PBE).

The 8 most intense peaks (10 to 80 degrees two-theta), most intense first:
- 2θ 12.5, intensity 100.0
- 2θ 15.6, intensity 46.2
- 2θ 21.6, intensity 39.7
- 2θ 20.7, intensity 37.9
- 2θ 41.0, intensity 24.6
- 2θ 30.7, intensity 23.0
- 2θ 28.7, intensity 18.2
- 2θ 31.5, intensity 16.3

Cell lengths 7.613, 7.613, 7.613 Å; angles 144.60, 83.59, 107.25 degrees
Sites, in units of the cell vectors:
Pu  0.000  0.000  0.000
Cl  0.215  0.997  0.218
Cl  0.275  0.275  0.000
Cl  0.710  0.460  0.750
Cl  0.710  0.960  0.250
Cl  0.779  0.997  0.782
F  0.019  0.519  0.500

***

# 7
This entry pairs a crystal structure of PmDy3Tl3 with its simulated PXRD pattern. Radiation: a wavelength of 1.5418 Å. Structure: a structure optimized by DFT (GGA-PBE).

The 8 most intense peaks (10 to 80 degrees two-theta), most intense first:
- 2θ 30.1, intensity 100.0
- 2θ 35.8, intensity 67.9
- 2θ 60.8, intensity 29.1
- 2θ 49.5, intensity 18.7
- 2θ 74.2, intensity 17.7
- 2θ 43.1, intensity 17.6
- 2θ 64.3, intensity 14.9
- 2θ 47.4, intensity 14.0

Cell lengths 9.392, 9.392, 9.392 Å; angles 90.00, 90.00, 90.00 degrees
Sites, in units of the cell vectors:
Pm  0.072  0.428  0.572
Pm  0.428  0.572  0.072
Pm  0.572  0.072  0.428
Pm  0.928  0.928  0.928
Dy  0.079  0.579  0.921
Dy  0.178  0.178  0.178
Dy  0.179  0.821  0.321
Dy  0.321  0.179  0.821
Dy  0.322  0.822  0.678
Dy  0.421  0.421  0.421
Dy  0.579  0.921  0.079
Dy  0.678  0.322  0.822
Dy  0.679  0.679  0.679
Dy  0.821  0.321  0.179
Dy  0.822  0.678  0.322
Dy  0.921  0.079  0.579
Tl  0.000  0.256  0.881
Tl  0.000  0.756  0.619
Tl  0.119  0.500  0.244
Tl  0.244  0.119  0.500
Tl  0.256  0.881  0.000
Tl  0.381  0.500  0.744
Tl  0.500  0.244  0.119
Tl  0.500  0.744  0.381
Tl  0.619  0.000  0.756
Tl  0.744  0.381  0.500
Tl  0.756  0.619  0.000
Tl  0.881  0.000  0.256

***

# 8
This entry pairs a crystal structure of MgSbS2O8 with its simulated PXRD pattern. Radiation: a wavelength of 1.5418 Å. Structure: a structure optimized by DFT (GGA-PBE).

The 8 most intense peaks (10 to 80 degrees two-theta), most intense first:
- 2θ 23.6, intensity 100.0
- 2θ 32.5, intensity 72.5
- 2θ 34.6, intensity 57.5
- 2θ 19.8, intensity 55.9
- 2θ 12.7, intensity 44.6
- 2θ 37.0, intensity 43.7
- 2θ 48.2, intensity 41.8
- 2θ 43.5, intensity 24.4

Cell lengths 5.185, 5.185, 6.981 Å; angles 90.00, 90.00, 120.00 degrees
Sites, in units of the cell vectors:
Mg  0.000  0.000  0.000
Sb  0.000  0.000  0.500
S  0.333  0.667  0.736
S  0.667  0.333  0.264
O  0.176  0.353  0.808
O  0.176  0.824  0.808
O  0.333  0.667  0.525
O  0.353  0.176  0.192
O  0.647  0.824  0.808
O  0.667  0.333  0.475
O  0.824  0.176  0.192
O  0.824  0.647  0.192

***

# 9
This entry pairs a crystal structure of Li8TiS6 with its simulated PXRD pattern. Radiation: a wavelength of 1.5418 Å. Structure: a structure optimized by DFT (GGA-PBE).

The 8 most intense peaks (10 to 80 degrees two-theta), most intense first:
- 2θ 26.7, intensity 100.0
- 2θ 19.9, intensity 96.5
- 2θ 45.5, intensity 84.8
- 2θ 26.5, intensity 78.0
- 2θ 29.1, intensity 70.1
- 2θ 53.5, intensity 61.6
- 2θ 14.8, intensity 53.2
- 2θ 25.8, intensity 51.7

Cell lengths 6.901, 6.901, 13.450 Å; angles 90.00, 90.00, 120.00 degrees
Sites, in units of the cell vectors:
Li  0.000  0.320  0.000
Li  0.000  0.375  0.365
Li  0.000  0.625  0.865
Li  0.000  0.680  0.500
Li  0.320  0.000  0.000
Li  0.320  0.320  0.500
Li  0.333  0.667  0.135
Li  0.333  0.667  0.635
Li  0.375  0.000  0.365
Li  0.375  0.375  0.865
Li  0.625  0.000  0.865
Li  0.625  0.625  0.365
Li  0.667  0.333  0.135
Li  0.667  0.333  0.635
Li  0.680  0.000  0.500
Li  0.680  0.680  0.000
Ti  0.000  0.000  0.232
Ti  0.000  0.000  0.732
S  0.000  0.000  0.404
S  0.000  0.000  0.904
S  0.000  0.313  0.184
S  0.000  0.687  0.684
S  0.313  0.000  0.184
S  0.313  0.313  0.684
S  0.333  0.667  0.450
S  0.333  0.667  0.950
S  0.667  0.333  0.450
S  0.667  0.333  0.950
S  0.687  0.000  0.684
S  0.687  0.687  0.184

***

# 10
This entry pairs a crystal structure of KNdPN2 with its simulated PXRD pattern. Radiation: a wavelength of 1.5418 Å. Structure: a structure optimized by DFT (GGA-PBE).

The 8 most intense peaks (10 to 80 degrees two-theta), most intense first:
- 2θ 33.8, intensity 100.0
- 2θ 14.4, intensity 95.1
- 2θ 23.1, intensity 68.9
- 2θ 29.0, intensity 32.0
- 2θ 54.6, intensity 25.0
- 2θ 30.5, intensity 24.9
- 2θ 38.2, intensity 22.8
- 2θ 47.3, intensity 21.9

Cell lengths 6.160, 4.920, 7.307 Å; angles 90.00, 90.11, 90.00 degrees
Sites, in units of the cell vectors:
K  0.000  0.001  0.250
K  0.000  0.999  0.750
Nd  0.500  0.500  0.250
Nd  0.500  0.500  0.750
P  0.500  0.000  0.000
P  0.500  0.000  0.500
N  0.318  0.263  0.000
N  0.318  0.737  0.500
N  0.682  0.263  0.500
N  0.682  0.737  0.000

***

# 11
This entry pairs a crystal structure of LiSm2Rh3O8 with its simulated PXRD pattern. Radiation: a wavelength of 1.5418 Å. Structure: a structure optimized by DFT (GGA-PBE).

The 8 most intense peaks (10 to 80 degrees two-theta), most intense first:
- 2θ 39.4, intensity 100.0
- 2θ 16.5, intensity 72.4
- 2θ 34.1, intensity 69.8
- 2θ 19.4, intensity 43.2
- 2θ 57.4, intensity 34.7
- 2θ 32.7, intensity 31.7
- 2θ 16.9, intensity 24.7
- 2θ 56.4, intensity 24.6

Cell lengths 6.532, 6.532, 6.532 Å; angles 58.90, 58.90, 58.90 degrees
Sites, in units of the cell vectors:
Li  0.000  0.000  0.000
Sm  0.179  0.179  0.179
Sm  0.665  0.665  0.665
Rh  0.157  0.649  0.649
Rh  0.649  0.157  0.649
Rh  0.649  0.649  0.157
O  0.414  0.414  0.844
O  0.414  0.844  0.414
O  0.415  0.918  0.918
O  0.425  0.425  0.425
O  0.844  0.414  0.414
O  0.879  0.879  0.879
O  0.918  0.415  0.918
O  0.918  0.918  0.415

***

# 12
This entry pairs a crystal structure of Cd2InCu2Pd5 with its simulated PXRD pattern. Radiation: a wavelength of 1.5418 Å. Structure: a structure optimized by DFT (GGA-PBE).

The 8 most intense peaks (10 to 80 degrees two-theta), most intense first:
- 2θ 38.4, intensity 100.0
- 2θ 40.1, intensity 30.2
- 2θ 42.0, intensity 28.8
- 2θ 46.3, intensity 24.4
- 2θ 31.4, intensity 18.8
- 2θ 43.7, intensity 16.8
- 2θ 62.9, intensity 15.5
- 2θ 35.7, intensity 12.6

Cell lengths 9.261, 9.261, 3.924 Å; angles 90.00, 90.00, 90.00 degrees
Sites, in units of the cell vectors:
Cd  0.169  0.331  0.000
Cd  0.331  0.831  0.000
Cd  0.669  0.169  0.000
Cd  0.831  0.669  0.000
In  0.000  0.000  0.000
In  0.500  0.500  0.000
Cu  0.125  0.625  0.000
Cu  0.375  0.125  0.000
Cu  0.625  0.875  0.000
Cu  0.875  0.375  0.000
Pd  0.000  0.500  0.500
Pd  0.081  0.801  0.500
Pd  0.199  0.081  0.500
Pd  0.301  0.581  0.500
Pd  0.419  0.301  0.500
Pd  0.500  0.000  0.500
Pd  0.581  0.699  0.500
Pd  0.699  0.419  0.500
Pd  0.801  0.919  0.500
Pd  0.919  0.199  0.500